Record 1
For Nb3ZnAu, a crystal structure in Alexandria, relaxed with PBE gives the simulated powder diffractogram in this record (Cu Kα, 1.54184 Å).
Kinematic intensities with the Lorentz-polarization factor, no thermal factor.

Main lines, low angle first (2θ = 15–90°):
17.9°, intensity 9
21.9°, intensity 15
28.4°, intensity 12
38.5°, intensity 100
40.6°, intensity 61
42.7°, intensity 25
48.5°, intensity 19
68.1°, intensity 32
69.6°, intensity 7
72.5°, intensity 25
74.0°, intensity 7
82.5°, intensity 11

Structure:
```
data_Nb3ZnAu
_chemical_formula_sum 'Nb12 Zn4 Au4'
_cell_length_a 7.0186
_cell_length_b 7.0186
_cell_length_c 7.0186
_cell_angle_alpha 90.00
_cell_angle_beta 90.00
_cell_angle_gamma 90.00
_symmetry_space_group_name_H-M 'P 1'
_symmetry_Int_Tables_number 1
_symmetry_space_group_name_Hall 'P 1'
loop_
_atom_site_label
_atom_site_type_symbol
_atom_site_fract_x
_atom_site_fract_y
_atom_site_fract_z
_atom_site_occupancy
Nb1 Nb 0.0475 0.1205 0.7926 1
Nb2 Nb 0.1205 0.7926 0.0475 1
Nb3 Nb 0.2074 0.5475 0.3795 1
Nb4 Nb 0.2926 0.4525 0.8795 1
Nb5 Nb 0.3795 0.2074 0.5475 1
Nb6 Nb 0.4525 0.8795 0.2926 1
Nb7 Nb 0.5475 0.3795 0.2074 1
Nb8 Nb 0.6205 0.7074 0.9525 1
Nb9 Nb 0.7074 0.9525 0.6205 1
Nb10 Nb 0.7926 0.0475 0.1205 1
Nb11 Nb 0.8795 0.2926 0.4525 1
Nb12 Nb 0.9525 0.6205 0.7074 1
Zn1 Zn 0.0634 0.9366 0.4366 1
Zn2 Zn 0.4366 0.0634 0.9366 1
Zn3 Zn 0.5634 0.5634 0.5634 1
Zn4 Zn 0.9366 0.4366 0.0634 1
Au1 Au 0.1853 0.1853 0.1853 1
Au2 Au 0.3147 0.8147 0.6853 1
Au3 Au 0.6853 0.3147 0.8147 1
Au4 Au 0.8147 0.6853 0.3147 1
```

Record 2
For Rb3CuBr6, a crystal structure in Alexandria, relaxed with PBE gives the simulated powder diffractogram in this record (Cu Kα, 1.54184 Å).
Kinematic intensities with the Lorentz-polarization factor, no thermal factor.

Main lines, low angle first (2θ = 15–90°):
15.4°, intensity 23
21.8°, intensity 28
26.8°, intensity 73
31.1°, intensity 100
33.9°, intensity 14
40.7°, intensity 18
44.5°, intensity 64
52.8°, intensity 22
55.3°, intensity 20
73.6°, intensity 20
82.0°, intensity 13
87.7°, intensity 13

Structure:
```
data_Rb3CuBr6
_chemical_formula_sum 'Rb3 Cu1 Br6'
_cell_length_a 8.1390
_cell_length_b 8.1390
_cell_length_c 8.1390
_cell_angle_alpha 60.00
_cell_angle_beta 60.00
_cell_angle_gamma 60.00
_symmetry_space_group_name_H-M 'P 1'
_symmetry_Int_Tables_number 1
_symmetry_space_group_name_Hall 'P 1'
loop_
_atom_site_label
_atom_site_type_symbol
_atom_site_fract_x
_atom_site_fract_y
_atom_site_fract_z
_atom_site_occupancy
Rb1 Rb 0.0000 0.0000 0.0000 1
Rb2 Rb 0.2500 0.2500 0.2500 1
Rb3 Rb 0.7500 0.7500 0.7500 1
Cu1 Cu 0.5000 0.5000 0.5000 1
Br1 Br 0.2801 0.2801 0.7199 1
Br2 Br 0.2801 0.7199 0.2801 1
Br3 Br 0.2801 0.7199 0.7199 1
Br4 Br 0.7199 0.2801 0.2801 1
Br5 Br 0.7199 0.2801 0.7199 1
Br6 Br 0.7199 0.7199 0.2801 1
```

Record 3
For GeTeOs2, a crystal structure in Alexandria, relaxed with PBE gives the simulated powder diffractogram in this record (Cu Kα, 1.54184 Å).
Kinematic intensities with the Lorentz-polarization factor, no thermal factor.

Main lines, low angle first (2θ = 15–90°):
24.1°, intensity 2
27.9°, intensity 12
39.8°, intensity 100
47.1°, intensity 1
49.3°, intensity 3
57.6°, intensity 17
65.1°, intensity 5
72.3°, intensity 35
85.8°, intensity 11

Structure:
```
data_GeTeOs2
_chemical_formula_sum 'Ge4 Te4 Os8'
_cell_length_a 6.4044
_cell_length_b 6.4044
_cell_length_c 6.4044
_cell_angle_alpha 90.00
_cell_angle_beta 90.00
_cell_angle_gamma 90.00
_symmetry_space_group_name_H-M 'P 1'
_symmetry_Int_Tables_number 1
_symmetry_space_group_name_Hall 'P 1'
loop_
_atom_site_label
_atom_site_type_symbol
_atom_site_fract_x
_atom_site_fract_y
_atom_site_fract_z
_atom_site_occupancy
Ge1 Ge 0.0000 0.0000 0.0000 1
Ge2 Ge 0.0000 0.5000 0.5000 1
Ge3 Ge 0.5000 0.0000 0.5000 1
Ge4 Ge 0.5000 0.5000 0.0000 1
Te1 Te 0.0000 0.0000 0.5000 1
Te2 Te 0.0000 0.5000 0.0000 1
Te3 Te 0.5000 0.0000 0.0000 1
Te4 Te 0.5000 0.5000 0.5000 1
Os1 Os 0.2500 0.2500 0.2500 1
Os2 Os 0.2500 0.2500 0.7500 1
Os3 Os 0.2500 0.7500 0.2500 1
Os4 Os 0.2500 0.7500 0.7500 1
Os5 Os 0.7500 0.2500 0.2500 1
Os6 Os 0.7500 0.2500 0.7500 1
Os7 Os 0.7500 0.7500 0.2500 1
Os8 Os 0.7500 0.7500 0.7500 1
```